This entry pairs a crystal structure of ThPaMo4 with its simulated powder diffraction line list. Radiation: Cu Kα, 1.54184 Å. Structure: a structure optimized by DFT (GGA-PBE).

Structure:
```
ThPaMo4
1.0
0.0000 3.9201 3.9201
3.9201 0.0000 3.9201
3.9201 3.9201 0.0000
Th Pa Mo
1 1 4
Direct
0.0000 0.0000 0.0000 Th
0.7500 0.7500 0.7500 Pa
0.3752 0.3752 0.3752 Mo
0.3752 0.3752 0.8745 Mo
0.3752 0.8745 0.3752 Mo
0.8745 0.3752 0.3752 Mo
```

Most intense lines, 5 to 70 degrees two-theta, low angle first:
19.61 deg, rel. 9; 32.30 deg, rel. 59; 38.07 deg, rel. 100; 39.83 deg, rel. 17; 50.76 deg, rel. 3; 57.59 deg, rel. 24; 61.45 deg, rel. 33; 67.59 deg, rel. 25